# 1
Theoretical PXRD pattern of CsThTe4Au for Cu Kα (λ = 1.5418 Å), from DFT lattice parameters and positions (PBE).
Peak positions follow from Bragg's law for the DFT cell and can differ from measured ones.

Atomic structure:
```
data_CsThTe4Au
_cell_length_a 7.9193
_cell_length_b 6.3010
_cell_length_c 10.8171
_cell_angle_alpha 90.00
_cell_angle_beta 107.35
_cell_angle_gamma 90.00
_symmetry_space_group_name_H-M 'P 1'
_symmetry_Int_Tables_number 1
loop_
_symmetry_equiv_pos_as_xyz
'x,y,z'
loop_
_atom_site_label
_atom_site_type_symbol
_atom_site_fract_x
_atom_site_fract_y
_atom_site_fract_z
_atom_site_occupancy
Cs1 Cs 0.2156 0.2500 0.0518 1
Cs2 Cs 0.7844 0.7500 0.9482 1
Th1 Th 0.2742 0.2500 0.5550 1
Th2 Th 0.7258 0.7500 0.4450 1
Te1 Te 0.0153 0.5070 0.6926 1
Te2 Te 0.0153 0.9930 0.6926 1
Te3 Te 0.4224 0.7500 0.5934 1
Te4 Te 0.4771 0.7500 0.1594 1
Te5 Te 0.5229 0.2500 0.8406 1
Te6 Te 0.5776 0.2500 0.4066 1
Te7 Te 0.9847 0.0070 0.3074 1
Te8 Te 0.9847 0.4930 0.3074 1
Au1 Au 0.2911 0.7500 0.3279 1
Au2 Au 0.7089 0.2500 0.6721 1
```

Top 12 peaks for 2θ = 10–90°, by intensity:
2θ (°)	I/Imax
27.56	100
28.53	82
30.75	79
16.48	69
33.16	60
37.57	59
36.30	57
37.15	54
44.16	52
28.33	52
33.31	40
24.70	37


# 2
Theoretical PXRD pattern of CsU4Te12Au3 for Cu Kα (λ = 1.5418 Å), from DFT lattice parameters and positions (PBE).
Peak positions follow from Bragg's law for the DFT cell and can differ from measured ones.

Atomic structure:
```
data_CsU4Te12Au3
_cell_length_a 9.6702
_cell_length_b 9.6702
_cell_length_c 9.6702
_cell_angle_alpha 109.47
_cell_angle_beta 109.47
_cell_angle_gamma 109.47
_symmetry_space_group_name_H-M 'P 1'
_symmetry_Int_Tables_number 1
loop_
_symmetry_equiv_pos_as_xyz
'x,y,z'
loop_
_atom_site_label
_atom_site_type_symbol
_atom_site_fract_x
_atom_site_fract_y
_atom_site_fract_z
_atom_site_occupancy
Cs1 Cs 0.0000 0.0000 0.0000 1
U1 U 0.0000 0.0000 0.5000 1
U2 U 0.0000 0.5000 0.0000 1
U3 U 0.5000 0.0000 0.0000 1
U4 U 0.5000 0.5000 0.5000 1
Te1 Te 0.1459 0.3183 0.8275 1
Te2 Te 0.1725 0.4908 0.3183 1
Te3 Te 0.1725 0.8541 0.6817 1
Te4 Te 0.3183 0.1725 0.4908 1
Te5 Te 0.3183 0.8275 0.1459 1
Te6 Te 0.4908 0.3183 0.1725 1
Te7 Te 0.5092 0.6817 0.8275 1
Te8 Te 0.6817 0.1725 0.8541 1
Te9 Te 0.6817 0.8275 0.5092 1
Te10 Te 0.8275 0.1459 0.3183 1
Te11 Te 0.8275 0.5092 0.6817 1
Te12 Te 0.8541 0.6817 0.1725 1
Au1 Au 0.0000 0.5000 0.5000 1
Au2 Au 0.5000 0.0000 0.5000 1
Au3 Au 0.5000 0.5000 0.0000 1
```

Top 12 peaks for 2θ = 10–90°, by intensity:
2θ (°)	I/Imax
39.54	100
22.52	78
71.72	44
25.22	42
32.06	39
51.78	27
62.22	25
29.94	23
47.48	19
45.98	17
89.51	15
80.73	11


# 3
Theoretical PXRD pattern of Cs2UTe6Au2 for Cu Kα (λ = 1.5418 Å), from DFT lattice parameters and positions (PBE).
Peak positions follow from Bragg's law for the DFT cell and can differ from measured ones.

Atomic structure:
```
data_Cs2UTe6Au2
_cell_length_a 8.4824
_cell_length_b 8.4824
_cell_length_c 8.7400
_cell_angle_alpha 119.20
_cell_angle_beta 119.20
_cell_angle_gamma 59.94
_symmetry_space_group_name_H-M 'P 1'
_symmetry_Int_Tables_number 1
loop_
_symmetry_equiv_pos_as_xyz
'x,y,z'
loop_
_atom_site_label
_atom_site_type_symbol
_atom_site_fract_x
_atom_site_fract_y
_atom_site_fract_z
_atom_site_occupancy
Cs1 Cs 0.2436 0.2436 0.2305 1
Cs2 Cs 0.7564 0.7564 0.7695 1
U1 U 0.0000 0.0000 0.5000 1
Te1 Te 0.2196 0.7615 0.2428 1
Te2 Te 0.2385 0.7804 0.7572 1
Te3 Te 0.2388 0.2388 0.7578 1
Te4 Te 0.7612 0.7612 0.2422 1
Te5 Te 0.7615 0.2196 0.2428 1
Te6 Te 0.7804 0.2385 0.7572 1
Au1 Au 0.4131 0.4131 0.7391 1
Au2 Au 0.5869 0.5869 0.2609 1
```

Top 12 peaks for 2θ = 10–90°, by intensity:
2θ (°)	I/Imax
29.39	100
20.95	100
42.65	93
14.57	84
24.65	75
38.52	64
23.84	50
25.62	50
31.95	41
49.92	38
41.47	31
33.32	24


# 4
Theoretical PXRD pattern of CsTl2Au4 for Cu Kα (λ = 1.5418 Å), from DFT lattice parameters and positions (PBE).
Peak positions follow from Bragg's law for the DFT cell and can differ from measured ones.

Atomic structure:
```
data_CsTl2Au4
_cell_length_a 7.9461
_cell_length_b 7.9461
_cell_length_c 7.9461
_cell_angle_alpha 107.02
_cell_angle_beta 107.02
_cell_angle_gamma 114.48
_symmetry_space_group_name_H-M 'P 1'
_symmetry_Int_Tables_number 1
loop_
_symmetry_equiv_pos_as_xyz
'x,y,z'
loop_
_atom_site_label
_atom_site_type_symbol
_atom_site_fract_x
_atom_site_fract_y
_atom_site_fract_z
_atom_site_occupancy
Cs1 Cs 0.2500 0.2500 0.0000 1
Cs2 Cs 0.7500 0.7500 0.0000 1
Tl1 Tl 0.1638 0.6638 0.8276 1
Tl2 Tl 0.3362 0.1638 0.5000 1
Tl3 Tl 0.6638 0.8362 0.5000 1
Tl4 Tl 0.8362 0.3362 0.1724 1
Au1 Au 0.0279 0.7962 0.5000 1
Au2 Au 0.2038 0.7038 0.2317 1
Au3 Au 0.2962 0.5279 0.5000 1
Au4 Au 0.4721 0.9721 0.7683 1
Au5 Au 0.5279 0.0279 0.2317 1
Au6 Au 0.7038 0.4721 0.5000 1
Au7 Au 0.7962 0.2962 0.7683 1
Au8 Au 0.9721 0.2038 0.5000 1
```

Top 12 peaks for 2θ = 10–90°, by intensity:
2θ (°)	I/Imax
37.93	100
29.90	70
13.25	40
62.01	31
38.09	24
40.50	17
46.98	15
54.96	11
28.06	11
77.97	10
51.02	10
79.53	8


# 5
Theoretical PXRD pattern of Cs2Tl5Au4 for Cu Kα (λ = 1.5418 Å), from DFT lattice parameters and positions (PBE).
Peak positions follow from Bragg's law for the DFT cell and can differ from measured ones.

Atomic structure:
```
data_Cs2Tl5Au4
_cell_length_a 7.1706
_cell_length_b 7.1706
_cell_length_c 9.8763
_cell_angle_alpha 117.11
_cell_angle_beta 117.11
_cell_angle_gamma 67.18
_symmetry_space_group_name_H-M 'P 1'
_symmetry_Int_Tables_number 1
loop_
_symmetry_equiv_pos_as_xyz
'x,y,z'
loop_
_atom_site_label
_atom_site_type_symbol
_atom_site_fract_x
_atom_site_fract_y
_atom_site_fract_z
_atom_site_occupancy
Cs1 Cs 0.0663 0.0663 0.3312 1
Cs2 Cs 0.9337 0.9337 0.6688 1
Tl1 Tl 0.1320 0.5479 0.9086 1
Tl2 Tl 0.4521 0.8680 0.0914 1
Tl3 Tl 0.5000 0.5000 0.5000 1
Tl4 Tl 0.5479 0.1320 0.9086 1
Tl5 Tl 0.8680 0.4521 0.0914 1
Au1 Au 0.3237 0.3237 0.1528 1
Au2 Au 0.3934 0.3934 0.7058 1
Au3 Au 0.6066 0.6066 0.2942 1
Au4 Au 0.6763 0.6763 0.8472 1
```

Top 12 peaks for 2θ = 10–90°, by intensity:
2θ (°)	I/Imax
14.25	100
25.36	95
38.75	69
10.70	64
29.51	60
24.90	57
36.87	56
41.89	51
37.76	50
45.72	36
35.94	30
44.87	28


# 6
Theoretical PXRD pattern of CsTl12Au7 for Cu Kα (λ = 1.5418 Å), from DFT lattice parameters and positions (PBE).
Peak positions follow from Bragg's law for the DFT cell and can differ from measured ones.

Atomic structure:
```
data_CsTl12Au7
_cell_length_a 9.1957
_cell_length_b 9.1957
_cell_length_c 9.1957
_cell_angle_alpha 110.70
_cell_angle_beta 110.70
_cell_angle_gamma 110.70
_symmetry_space_group_name_H-M 'P 1'
_symmetry_Int_Tables_number 1
loop_
_symmetry_equiv_pos_as_xyz
'x,y,z'
loop_
_atom_site_label
_atom_site_type_symbol
_atom_site_fract_x
_atom_site_fract_y
_atom_site_fract_z
_atom_site_occupancy
Cs1 Cs 0.0000 0.0000 0.0000 1
Tl1 Tl 0.0103 0.2567 0.7351 1
Tl2 Tl 0.1455 0.4515 0.4784 1
Tl3 Tl 0.2567 0.7351 0.0103 1
Tl4 Tl 0.2649 0.9897 0.7433 1
Tl5 Tl 0.4515 0.4784 0.1455 1
Tl6 Tl 0.4784 0.1455 0.4515 1
Tl7 Tl 0.5216 0.8545 0.5485 1
Tl8 Tl 0.5485 0.5216 0.8545 1
Tl9 Tl 0.7351 0.0103 0.2567 1
Tl10 Tl 0.7433 0.2649 0.9897 1
Tl11 Tl 0.8545 0.5485 0.5216 1
Tl12 Tl 0.9897 0.7433 0.2649 1
Au1 Au 0.1596 0.5205 0.1914 1
Au2 Au 0.1914 0.1596 0.5205 1
Au3 Au 0.4795 0.8086 0.8404 1
Au4 Au 0.5000 0.5000 0.5000 1
Au5 Au 0.5205 0.1914 0.1596 1
Au6 Au 0.8086 0.8404 0.4795 1
Au7 Au 0.8404 0.4795 0.8086 1
```

Top 12 peaks for 2θ = 10–90°, by intensity:
2θ (°)	I/Imax
35.60	100
32.22	93
31.11	83
31.52	61
29.16	54
37.46	53
65.19	45
31.28	43
34.38	43
37.80	35
36.44	34
48.00	34


# 7
Theoretical PXRD pattern of Cs3TlAu3 for Cu Kα (λ = 1.5418 Å), from DFT lattice parameters and positions (PBE).
Peak positions follow from Bragg's law for the DFT cell and can differ from measured ones.

Atomic structure:
```
data_Cs3TlAu3
_cell_length_a 7.0372
_cell_length_b 7.0372
_cell_length_c 17.5341
_cell_angle_alpha 110.19
_cell_angle_beta 110.19
_cell_angle_gamma 42.84
_symmetry_space_group_name_H-M 'P 1'
_symmetry_Int_Tables_number 1
loop_
_symmetry_equiv_pos_as_xyz
'x,y,z'
loop_
_atom_site_label
_atom_site_type_symbol
_atom_site_fract_x
_atom_site_fract_y
_atom_site_fract_z
_atom_site_occupancy
Cs1 Cs 0.0136 0.0136 0.2671 1
Cs2 Cs 0.1782 0.1782 0.5745 1
Cs3 Cs 0.3581 0.3581 0.8682 1
Cs4 Cs 0.6419 0.6419 0.1318 1
Cs5 Cs 0.8218 0.8218 0.4255 1
Cs6 Cs 0.9864 0.9864 0.7329 1
Tl1 Tl 0.3265 0.3265 0.0825 1
Tl2 Tl 0.6735 0.6735 0.9175 1
Au1 Au 0.0902 0.0902 0.9724 1
Au2 Au 0.3204 0.3204 0.2678 1
Au3 Au 0.4783 0.4783 0.5784 1
Au4 Au 0.5217 0.5217 0.4216 1
Au5 Au 0.6796 0.6796 0.7322 1
Au6 Au 0.9098 0.9098 0.0276 1
```

Top 12 peaks for 2θ = 10–90°, by intensity:
2θ (°)	I/Imax
26.73	100
26.93	54
33.13	53
34.91	50
31.89	38
30.12	37
13.52	30
33.02	26
18.75	25
35.77	19
47.98	18
52.08	18


# 8
Theoretical PXRD pattern of Cs2TlAu2 for Cu Kα (λ = 1.5418 Å), from DFT lattice parameters and positions (PBE).
Peak positions follow from Bragg's law for the DFT cell and can differ from measured ones.

Atomic structure:
```
data_Cs2TlAu2
_cell_length_a 7.0655
_cell_length_b 7.0655
_cell_length_c 9.0097
_cell_angle_alpha 102.31
_cell_angle_beta 102.31
_cell_angle_gamma 60.92
_symmetry_space_group_name_H-M 'P 1'
_symmetry_Int_Tables_number 1
loop_
_symmetry_equiv_pos_as_xyz
'x,y,z'
loop_
_atom_site_label
_atom_site_type_symbol
_atom_site_fract_x
_atom_site_fract_y
_atom_site_fract_z
_atom_site_occupancy
Cs1 Cs 0.0079 0.2809 0.1322 1
Cs2 Cs 0.2809 0.0079 0.6322 1
Cs3 Cs 0.7191 0.9921 0.3678 1
Cs4 Cs 0.9921 0.7191 0.8678 1
Tl1 Tl 0.4027 0.5973 0.2500 1
Tl2 Tl 0.5973 0.4027 0.7500 1
Au1 Au 0.2105 0.4989 0.5057 1
Au2 Au 0.4989 0.2105 0.0057 1
Au3 Au 0.5011 0.7895 0.9943 1
Au4 Au 0.7895 0.5011 0.4943 1
```

Top 12 peaks for 2θ = 10–90°, by intensity:
2θ (°)	I/Imax
32.18	100
32.32	53
29.32	43
14.46	41
26.91	31
29.66	29
28.28	28
51.78	24
29.85	19
44.86	19
46.64	13
18.74	13


# 9
Theoretical PXRD pattern of Cs2TlZnAu for Cu Kα (λ = 1.5418 Å), from DFT lattice parameters and positions (PBE).
Peak positions follow from Bragg's law for the DFT cell and can differ from measured ones.

Atomic structure:
```
data_Cs2TlZnAu
_cell_length_a 6.8755
_cell_length_b 6.8755
_cell_length_c 5.0519
_cell_angle_alpha 90.00
_cell_angle_beta 90.00
_cell_angle_gamma 90.00
_symmetry_space_group_name_H-M 'P 1'
_symmetry_Int_Tables_number 1
loop_
_symmetry_equiv_pos_as_xyz
'x,y,z'
loop_
_atom_site_label
_atom_site_type_symbol
_atom_site_fract_x
_atom_site_fract_y
_atom_site_fract_z
_atom_site_occupancy
Cs1 Cs 0.0000 0.5000 0.0000 1
Cs2 Cs 0.5000 0.0000 0.0000 1
Tl1 Tl 0.0000 0.0000 0.5000 1
Zn1 Zn 0.5000 0.5000 0.5000 1
Au1 Au 0.5000 0.5000 0.0000 1
```

Top 12 peaks for 2θ = 10–90°, by intensity:
2θ (°)	I/Imax
25.92	100
21.83	59
44.51	47
25.43	44
36.98	40
34.14	39
52.23	29
71.89	23
35.54	22
60.19	19
45.41	18
18.25	18


# 10
Theoretical PXRD pattern of Cs2Zn3Au4 for Cu Kα (λ = 1.5418 Å), from DFT lattice parameters and positions (PBE).
Peak positions follow from Bragg's law for the DFT cell and can differ from measured ones.

Atomic structure:
```
data_Cs2Zn3Au4
_cell_length_a 13.8204
_cell_length_b 12.9659
_cell_length_c 6.7003
_cell_angle_alpha 82.72
_cell_angle_beta 68.53
_cell_angle_gamma 28.74
_symmetry_space_group_name_H-M 'P 1'
_symmetry_Int_Tables_number 1
loop_
_symmetry_equiv_pos_as_xyz
'x,y,z'
loop_
_atom_site_label
_atom_site_type_symbol
_atom_site_fract_x
_atom_site_fract_y
_atom_site_fract_z
_atom_site_occupancy
Cs1 Cs 0.0477 0.0477 0.2023 1
Cs2 Cs 0.2023 0.2023 0.0477 1
Cs3 Cs 0.7977 0.7977 0.9523 1
Cs4 Cs 0.9523 0.9523 0.7977 1
Zn1 Zn 0.1077 0.1077 0.6423 1
Zn2 Zn 0.3577 0.3577 0.8923 1
Zn3 Zn 0.3750 0.3750 0.3750 1
Zn4 Zn 0.6250 0.6250 0.6250 1
Zn5 Zn 0.6423 0.6423 0.1077 1
Zn6 Zn 0.8923 0.8923 0.3577 1
Au1 Au 0.0621 0.5457 0.3485 1
Au2 Au 0.3485 0.5437 0.0621 1
Au3 Au 0.4543 0.9379 0.4563 1
Au4 Au 0.4563 0.6515 0.4543 1
Au5 Au 0.5437 0.3485 0.5457 1
Au6 Au 0.5457 0.0621 0.5437 1
Au7 Au 0.6515 0.4563 0.9379 1
Au8 Au 0.9379 0.4543 0.6515 1
```

Top 12 peaks for 2θ = 10–90°, by intensity:
2θ (°)	I/Imax
26.85	100
36.74	88
34.52	43
32.14	41
28.48	37
15.78	36
31.86	34
43.02	26
43.83	25
51.96	25
27.82	21
54.94	20


# 11
Theoretical PXRD pattern of CsZn6Au3 for Cu Kα (λ = 1.5418 Å), from DFT lattice parameters and positions (PBE).
Peak positions follow from Bragg's law for the DFT cell and can differ from measured ones.

Atomic structure:
```
data_CsZn6Au3
_cell_length_a 7.5113
_cell_length_b 7.9410
_cell_length_c 10.1048
_cell_angle_alpha 90.00
_cell_angle_beta 122.65
_cell_angle_gamma 90.00
_symmetry_space_group_name_H-M 'P 1'
_symmetry_Int_Tables_number 1
loop_
_symmetry_equiv_pos_as_xyz
'x,y,z'
loop_
_atom_site_label
_atom_site_type_symbol
_atom_site_fract_x
_atom_site_fract_y
_atom_site_fract_z
_atom_site_occupancy
Cs1 Cs 0.0000 0.0000 0.0000 1
Cs2 Cs 0.0000 0.5000 0.5000 1
Zn1 Zn 0.1211 0.0182 0.4379 1
Zn2 Zn 0.1211 0.4818 0.9379 1
Zn3 Zn 0.4902 0.1972 0.7100 1
Zn4 Zn 0.4902 0.3028 0.2100 1
Zn5 Zn 0.4963 0.1762 0.9702 1
Zn6 Zn 0.4963 0.3238 0.4702 1
Zn7 Zn 0.5037 0.6762 0.5298 1
Zn8 Zn 0.5037 0.8238 0.0298 1
Zn9 Zn 0.5098 0.6972 0.7900 1
Zn10 Zn 0.5098 0.8028 0.2900 1
Zn11 Zn 0.8789 0.5182 0.0621 1
Zn12 Zn 0.8789 0.9818 0.5621 1
Au1 Au 0.2781 0.5401 0.2455 1
Au2 Au 0.2781 0.9599 0.7455 1
Au3 Au 0.5000 0.0000 0.5000 1
Au4 Au 0.5000 0.5000 0.0000 1
Au5 Au 0.7219 0.0401 0.2545 1
Au6 Au 0.7219 0.4599 0.7545 1
```

Top 12 peaks for 2θ = 10–90°, by intensity:
2θ (°)	I/Imax
24.35	100
28.94	64
22.39	51
14.00	40
43.59	36
33.34	33
39.75	32
48.61	28
49.86	23
42.50	22
40.50	20
51.83	19


# 12
Theoretical PXRD pattern of Cs2ZrAu for Cu Kα (λ = 1.5418 Å), from DFT lattice parameters and positions (PBE).
Peak positions follow from Bragg's law for the DFT cell and can differ from measured ones.

Atomic structure:
```
data_Cs2ZrAu
_cell_length_a 13.2501
_cell_length_b 13.2501
_cell_length_c 5.4517
_cell_angle_alpha 90.00
_cell_angle_beta 90.00
_cell_angle_gamma 90.00
_symmetry_space_group_name_H-M 'P 1'
_symmetry_Int_Tables_number 1
loop_
_symmetry_equiv_pos_as_xyz
'x,y,z'
loop_
_atom_site_label
_atom_site_type_symbol
_atom_site_fract_x
_atom_site_fract_y
_atom_site_fract_z
_atom_site_occupancy
Cs1 Cs 0.0953 0.2500 0.1250 1
Cs2 Cs 0.2500 0.5953 0.3750 1
Cs3 Cs 0.2500 0.9047 0.8750 1
Cs4 Cs 0.4047 0.2500 0.6250 1
Cs5 Cs 0.5953 0.7500 0.6250 1
Cs6 Cs 0.7500 0.0953 0.8750 1
Cs7 Cs 0.7500 0.4047 0.3750 1
Cs8 Cs 0.9047 0.7500 0.1250 1
Zr1 Zr 0.0000 0.0000 0.5000 1
Zr2 Zr 0.0000 0.5000 0.7500 1
Zr3 Zr 0.5000 0.0000 0.2500 1
Zr4 Zr 0.5000 0.5000 0.0000 1
Au1 Au 0.0000 0.0000 0.0000 1
Au2 Au 0.0000 0.5000 0.2500 1
Au3 Au 0.5000 0.0000 0.7500 1
Au4 Au 0.5000 0.5000 0.5000 1
```

Top 12 peaks for 2θ = 10–90°, by intensity:
2θ (°)	I/Imax
30.16	100
13.36	77
17.59	62
21.20	51
39.44	45
34.26	40
26.92	38
22.16	37
32.34	36
18.94	31
29.31	29
44.10	28


Q: Which formula does entry 6 have?
A: CsTl12Au7